(1)
The following is a calculated powder XRD pattern of TbInNi17. It was derived from a DFT-relaxed cell (PBE, Alexandria), using copper Kα.
Intensities are scaled so that the largest is 100.

Principal peaks in the range 2θ from 10° to 90°, sorted by position:
Position (°2θ)	d (Å)	I/Imax
31.10	2.875	27
37.82	2.379	40
39.15	2.301	30
43.96	2.060	61
44.26	2.046	100
45.15	2.008	48
49.75	1.833	30
64.17	1.451	19
64.84	1.438	23
82.74	1.166	18

Crystal structure
```
TbInNi17
1.0
4.1199 2.3786 4.0150
-4.1199 2.3786 4.0150
0.0000 -4.7572 4.0150
Tb In Ni
1 1 17
Cartesian
0.0000 0.0000 0.0000
0.0000 0.0000 3.8021
0.0000 -2.3043 2.0928
-1.9956 1.1521 2.0928
-2.1136 -1.2203 5.9629
0.0000 -2.3121 5.7610
-2.0024 1.1561 5.7610
-1.2067 -2.1092 7.9538
-2.4299 0.0096 7.9538
1.9956 1.1522 2.0928
0.0000 0.0000 6.7065
1.2067 -2.1092 7.9538
-1.2233 2.0996 7.9538
2.1136 -1.2203 5.9629
0.0000 2.4405 5.9629
0.0000 0.0000 9.1105
2.0024 1.1561 5.7610
2.4299 0.0096 7.9538
1.2232 2.0996 7.9538
```

***

(2)
The following is a calculated powder XRD pattern of Th2RuC. It was derived from a DFT-relaxed cell (PBE, Alexandria), using copper Kα.
Intensities are scaled so that the largest is 100.

Principal peaks in the range 2θ from 10° to 90°, sorted by position:
Position (°2θ)	d (Å)	I/Imax
27.94	3.193	64
30.66	2.916	62
32.18	2.782	53
32.90	2.722	100
34.87	2.573	26
46.58	1.950	24
47.09	1.930	26
49.64	1.837	41
77.62	1.230	26
78.36	1.220	25

Crystal structure
```
Th2RuC
1.0
1.9297 -11.1277 0.0000
1.9297 11.1277 0.0000
0.0000 0.0000 3.8997
Th Ru C
4 2 2
Cartesian
1.9297 9.4730 2.9247
1.9297 4.2916 2.9247
1.9297 -4.2916 0.9749
1.9297 -9.4730 0.9749
1.9297 1.1246 2.9247
1.9297 -1.1246 0.9749
1.9297 6.7876 2.9247
1.9297 -6.7876 0.9749
```

***

(3)
The following is a calculated powder XRD pattern of CsTlCoCl6. It was derived from a DFT-relaxed cell (PBE, Alexandria), using copper Kα.
Intensities are scaled so that the largest is 100.

Principal peaks in the range 2θ from 10° to 90°, sorted by position:
Position (°2θ)	d (Å)	I/Imax
11.40	7.761	44
19.07	4.653	100
19.19	4.626	50
26.64	3.346	32
33.04	2.711	20
35.28	2.544	35
35.52	2.527	47
42.81	2.112	18
42.96	2.105	21
47.05	1.932	29

Crystal structure
```
CsTlCoCl6
1.0
3.3471 -5.7947 0.0000
3.3471 5.7947 0.0000
-0.0737 0.0000 7.7610
Cs Tl Co Cl
1 1 1 6
Cartesian
0.0000 0.0000 0.0000
3.3103 -1.9313 3.8805
3.3103 1.9571 3.8805
1.3188 2.1043 5.3148
2.1819 3.5217 2.4295
4.4386 3.5217 5.3314
2.5658 0.1317 2.4009
4.0547 0.1317 5.3601
5.3018 2.1043 2.4461
```

***

(4)
The following is a calculated powder XRD pattern of Y3RuPb. It was derived from a DFT-relaxed cell (PBE, Alexandria), using copper Kα.
Intensities are scaled so that the largest is 100.

Principal peaks in the range 2θ from 10° to 90°, sorted by position:
Position (°2θ)	d (Å)	I/Imax
20.10	4.418	79
27.22	3.276	19
31.17	2.870	58
34.21	2.621	19
34.75	2.582	100
35.71	2.514	78
37.06	2.425	64
50.29	1.814	29
66.53	1.405	22
70.84	1.330	20

Crystal structure
```
Y3RuPb
1.0
3.1813 -5.2417 0.0000
3.1813 5.2417 0.0000
0.0000 0.0000 8.2080
Y Ru Pb
6 2 2
Cartesian
3.1813 4.3927 6.8065
3.1813 2.6209 2.3764
3.1813 0.8491 6.8065
3.1813 -0.8491 1.4016
3.1813 -2.6209 5.8316
3.1813 -4.3927 1.4016
1.5907 2.6209 0.0000
1.5907 -2.6209 0.0000
1.5907 0.0000 4.1040
4.7720 0.0000 4.1040
```

***

(5)
The following is a calculated powder XRD pattern of Li2AlBr6. It was derived from a DFT-relaxed cell (PBE, Alexandria), using copper Kα.
Intensities are scaled so that the largest is 100.

Principal peaks in the range 2θ from 10° to 90°, sorted by position:
Position (°2θ)	d (Å)	I/Imax
16.11	5.503	11
27.12	3.288	23
28.37	3.146	30
30.26	2.954	53
30.63	2.919	100
39.31	2.292	11
39.65	2.273	21
47.40	1.918	11
48.14	1.890	13
51.66	1.769	12

Crystal structure
```
Li2AlBr6
1.0
6.6908 0.0000 0.0000
0.0000 6.2916 0.0000
-6.6469 0.0000 11.3496
Li Al Br
4 2 12
Cartesian
0.0500 0.2022 1.9332
-3.2735 2.9436 7.6080
3.3174 3.3480 3.7416
-0.0061 6.0895 9.4164
3.3454 0.0000 0.0000
0.0220 3.1458 5.6748
-4.3544 1.1410 9.3870
-1.0309 2.0048 3.7122
-2.0514 4.5616 5.8636
1.2720 4.8758 0.1888
-1.0328 1.4813 7.2555
2.2907 1.6645 1.5807
-2.2468 4.6271 9.7689
1.0767 4.8103 4.0941
-1.2281 1.4158 11.1608
2.0953 1.7300 5.4860
1.0748 4.2869 7.6374
4.3983 5.1506 1.9626
```

***

(6)
The following is a calculated powder XRD pattern of Ca3Ag2I8. It was derived from a DFT-relaxed cell (PBE, Alexandria), using copper Kα.
Intensities are scaled so that the largest is 100.

Principal peaks in the range 2θ from 10° to 90°, sorted by position:
Position (°2θ)	d (Å)	I/Imax
11.44	7.735	27
22.99	3.869	82
23.84	3.732	89
27.15	3.285	49
27.46	3.248	100
38.42	2.343	27
39.56	2.278	55
39.69	2.271	28
46.51	1.953	24
48.76	1.868	21

Crystal structure
```
Ca3Ag2I8
1.0
8.2041 -4.5420 0.0000
8.2041 4.5420 0.0000
-2.6327 0.0000 7.4469
Ca Ag I
3 2 8
Cartesian
0.0000 0.0000 0.0000
6.8878 2.2576 3.7234
6.8878 -2.2576 3.7234
4.1078 0.0000 6.9780
9.6677 0.0000 0.4689
-0.1005 0.0000 5.5566
4.2942 2.3819 5.5302
9.4814 2.3819 1.9166
5.4895 0.0000 2.0230
8.2861 0.0000 5.4239
4.2942 -2.3819 5.5302
9.4814 -2.3819 1.9166
13.8760 0.0000 1.8902
```